For SrVIrO6, a structure optimized by DFT (PBE+U) gives the theoretical powder diffraction line list in this record (Cu Kα X-rays).

Atomic structure:
a = 5.2050 Å, b = 5.2050 Å, c = 5.3638 Å
α = 90.00°, β = 90.00°, γ = 120.00°
Space group P312 (No. 149)
One atom of each set of equivalent atoms:
1 Sr 0.0000 0.0000 0.0000 [1 per cell]
2 V 0.3333 0.6667 0.5000 [1 per cell]
3 Ir 0.6667 0.3333 0.5000 [1 per cell]
4 O 0.0091 0.3816 0.6964 [6 per cell]

Peak list (8 most intense, 2θ = 10–80°, most intense first)
(hkl)  2θ/deg  intensity
1 0 1  25.82  100
2 -1 2  48.76  39
1 1 0  34.46  31
0 0 1  16.53  29
1 0 0  19.69  24
3 -1 1  56.69  23
2 0 1  43.56  22
2 -1 1  38.45  14